Entry 1:
Structure and theoretical X-ray powder pattern of Na8TlAu3 (DFT lattice parameters and positions (GGA-PBE); CuKα).

Peak list (10 most intense, 5° ≤ 2θ ≤ 70°, in order of rising 2θ)
| h k l | 2θ/deg | d [Å] | Rel. int. |
| --- | --- | --- | --- |
| 2 0 2 | 21.57 | 4.121 | 100 |
| 2 2 0 | 24.75 | 3.598 | 20 |
| 0 0 4 | 25.35 | 3.513 | 10 |
| 0 4 0 | 35.21 | 2.549 | 12 |
| 4 0 0 | 35.36 | 2.539 | 11 |
| 2 2 4 | 35.72 | 2.513 | 44 |
| 2 4 2 | 41.73 | 2.165 | 37 |
| 0 2 6 | 42.49 | 2.127 | 18 |
| 4 4 0 | 50.75 | 1.799 | 8 |
| 2 6 4 | 63.51 | 1.465 | 8 |

```
data_Na8TlAu3
_symmetry_space_group_name_H-M 'F m m m'
_symmetry_Int_Tables_number 69
_symmetry_space_group_name_Hall '-F 2 2'
_cell_length_a 10.155
_cell_length_b 10.196
_cell_length_c 14.051
_cell_angle_alpha 90.00
_cell_angle_beta 90.00
_cell_angle_gamma 90.00
loop_
_atom_site_label
_atom_site_fract_x
_atom_site_fract_y
_atom_site_fract_z
Na1 0.000 0.243 0.128
Na2 0.242 0.000 0.129
Tl1 0.000 0.000 0.500
Au1 0.000 0.000 0.000
Au2 0.250 0.250 0.250
```


Entry 2:
Structure and theoretical X-ray powder pattern of Na8TlAu6 (DFT lattice parameters and positions (GGA-PBE); CuKα).

Peak list (10 most intense, 5° ≤ 2θ ≤ 70°, in order of rising 2θ)
| h k l | 2θ/deg | d [Å] | Rel. int. |
| --- | --- | --- | --- |
| 0 0 3 | 14.70 | 6.028 | 82 |
| 1 1 0 | 20.67 | 4.296 | 25 |
| 2 -1 3 | 25.46 | 3.499 | 87 |
| 3 0 0 | 36.21 | 2.480 | 88 |
| 1 1 6 | 36.41 | 2.467 | 100 |
| 3 0 3 | 39.28 | 2.294 | 46 |
| 2 2 3 | 44.79 | 2.024 | 20 |
| 1 1 9 | 50.12 | 1.820 | 19 |
| 4 -2 6 | 52.30 | 1.749 | 35 |
| 4 1 6 | 65.27 | 1.430 | 36 |

```
data_Na8TlAu6
_symmetry_space_group_name_H-M 'R -3'
_symmetry_Int_Tables_number 148
_symmetry_space_group_name_Hall '-R 3'
_cell_length_a 8.5927
_cell_length_b 8.5927
_cell_length_c 18.0836
_cell_angle_alpha 90.00
_cell_angle_beta 90.00
_cell_angle_gamma 120.00
loop_
_atom_site_label
_atom_site_fract_x
_atom_site_fract_y
_atom_site_fract_z
Na1 0.0000 0.0000 0.1672
Na2 0.0036 0.3280 0.6171
Tl1 0.0000 0.0000 0.5000
Au1 0.0007 0.3414 0.4521
```


Repeat the second record exactly.
Structure and theoretical X-ray powder pattern of Na8TlAu6 (DFT lattice parameters and positions (GGA-PBE); CuKα).

Peak list (10 most intense, 5° ≤ 2θ ≤ 70°, in order of rising 2θ)
| h k l | 2θ/deg | d [Å] | Rel. int. |
| --- | --- | --- | --- |
| 0 0 3 | 14.70 | 6.028 | 82 |
| 1 1 0 | 20.67 | 4.296 | 25 |
| 2 -1 3 | 25.46 | 3.499 | 87 |
| 3 0 0 | 36.21 | 2.480 | 88 |
| 1 1 6 | 36.41 | 2.467 | 100 |
| 3 0 3 | 39.28 | 2.294 | 46 |
| 2 2 3 | 44.79 | 2.024 | 20 |
| 1 1 9 | 50.12 | 1.820 | 19 |
| 4 -2 6 | 52.30 | 1.749 | 35 |
| 4 1 6 | 65.27 | 1.430 | 36 |

```
data_Na8TlAu6
_symmetry_space_group_name_H-M 'R -3'
_symmetry_Int_Tables_number 148
_symmetry_space_group_name_Hall '-R 3'
_cell_length_a 8.5927
_cell_length_b 8.5927
_cell_length_c 18.0836
_cell_angle_alpha 90.00
_cell_angle_beta 90.00
_cell_angle_gamma 120.00
loop_
_atom_site_label
_atom_site_fract_x
_atom_site_fract_y
_atom_site_fract_z
Na1 0.0000 0.0000 0.1672
Na2 0.0036 0.3280 0.6171
Tl1 0.0000 0.0000 0.5000
Au1 0.0007 0.3414 0.4521
```